Entry 1:
Starting from the PBE geometry in Alexandria, the powder diffractogram of Pu2NbReN6 was simulated for a wavelength of 1.5418 Å.
Kinematic intensities with the Lorentz-polarization factor, no thermal factor.

Structural model:
Cell lengths 5.4171, 5.7565, 9.5109 Å; angles 90.00, 124.64, 90.00 degrees
Positions (direct):
1 Pu 0.2325 0.0689 0.2469
2 Pu 0.2325 0.4311 0.7469
3 Pu 0.7675 0.5689 0.2531
4 Pu 0.7675 0.9311 0.7531
5 Nb 0.0000 0.0000 0.5000
6 Nb 0.0000 0.5000 0.0000
7 Re 0.5000 0.0000 0.0000
8 Re 0.5000 0.5000 0.5000
9 N 0.1398 0.1895 0.9475
10 N 0.1398 0.3105 0.4475
11 N 0.2609 0.7017 0.9432
12 N 0.2609 0.7983 0.4432
13 N 0.3613 0.0371 0.7548
14 N 0.3613 0.4629 0.2548
15 N 0.6387 0.5371 0.7452
16 N 0.6387 0.9629 0.2452
17 N 0.7391 0.2017 0.5568
18 N 0.7391 0.2983 0.0568
19 N 0.8602 0.6895 0.5525
20 N 0.8602 0.8105 0.0525

Largest 12 diffraction maxima, in order of rising 2θ, 2θ from 10° to 90°:
3.523 Å, rel. 15.0; 2.878 Å, rel. 19.2; 2.778 Å, rel. 100.0; 2.706 Å, rel. 36.8; 1.973 Å, rel. 15.4; 1.956 Å, rel. 12.3; 1.913 Å, rel. 9.6; 1.762 Å, rel. 12.7; 1.618 Å, rel. 7.9; 1.586 Å, rel. 11.4; 1.577 Å, rel. 20.5; 1.238 Å, rel. 8.8


Entry 2:
Starting from the PBE geometry in Alexandria, the powder diffractogram of Pu2ScNbN4 was simulated for a wavelength of 1.5418 Å.
Kinematic intensities with the Lorentz-polarization factor, no thermal factor.

Structural model:
Cell lengths 5.7343, 3.3012, 5.7393 Å; angles 90.00, 109.37, 90.00 degrees
Positions (direct):
1 Pu 0.0000 0.0000 0.0000
2 Pu 0.0000 0.5000 0.5000
3 Sc 0.5000 0.0000 0.5000
4 Nb 0.5000 0.5000 0.0000
5 N 0.2681 0.5000 0.2517
6 N 0.2699 0.0000 0.7598
7 N 0.7301 0.0000 0.2402
8 N 0.7319 0.5000 0.7483

Largest 12 diffraction maxima, in order of rising 2θ, 2θ from 10° to 90°:
5.410 Å, rel. 61.3; 2.821 Å, rel. 42.2; 2.706 Å, rel. 70.3; 2.698 Å, rel. 69.5; 2.340 Å, rel. 100.0; 2.145 Å, rel. 14.2; 1.802 Å, rel. 15.7; 1.658 Å, rel. 11.3; 1.655 Å, rel. 45.1; 1.412 Å, rel. 31.0; 1.410 Å, rel. 30.6; 1.353 Å, rel. 11.4